For FeCuP2O8, a structure optimized by DFT (PBE+U) gives the theoretical XRD peak list in this record (copper Kα).
Lines closer than 0.1° are merged.

Structure:
Lattice parameters (Å, degrees): 5.0495 5.9655 10.1843 90.00 95.99 90.00
Positions (direct):
Fe 0.0559 0.2500 0.2927
Fe 0.9441 0.7500 0.7073
Cu 0.3436 0.2500 0.8095
Cu 0.6564 0.7500 0.1905
P 0.1094 0.7500 0.4007
P 0.4459 0.7500 0.8909
P 0.5541 0.2500 0.1091
P 0.8906 0.2500 0.5993
O 0.1455 0.7500 0.5522
O 0.2009 0.2500 0.6365
O 0.2317 0.5384 0.3432
O 0.2317 0.9616 0.3432
O 0.2662 0.2500 0.1363
O 0.2662 0.5572 0.8213
O 0.2662 0.9428 0.8213
O 0.4144 0.7500 0.0399
O 0.5856 0.2500 0.9601
O 0.7338 0.0572 0.1787
O 0.7338 0.4428 0.1787
O 0.7338 0.7500 0.8637
O 0.7683 0.0384 0.6568
O 0.7683 0.4616 0.6568
O 0.7991 0.7500 0.3635
O 0.8545 0.2500 0.4478

Largest 10 diffraction maxima, by intensity, 2θ = 10–90°:
2θ 18.9, I = 100, hkl 1 0 -1
2θ 30.0, I = 66, hkl 0 2 0
2θ 17.5, I = 56, hkl 0 0 2
2θ 30.3, I = 46, hkl 1 0 -3
2θ 23.6, I = 39, hkl 1 0 -2
2θ 25.4, I = 35, hkl 1 1 1
2θ 35.7, I = 33, hkl 1 2 -1
2θ 36.8, I = 27, hkl 1 1 3
2θ 20.5, I = 23, hkl 1 0 1
2θ 62.2, I = 23, hkl 0 4 0